# AcNd5Y12
Computed powder X-ray diffraction pattern, Cu Kα X-rays. Input: a crystal structure in Alexandria, relaxed with PBE.
Kinematic intensities with the Lorentz-polarization factor, no thermal factor.

Largest 10 diffraction maxima, most intense first, 5 to 70 degrees two-theta:
2θ/deg, Rel. int.
31.50, 100
30.44, 29
29.81, 26
54.76, 20
43.13, 19
22.54, 13
53.90, 9
54.07, 9
57.11, 9
47.09, 8

Cell and atoms:
a = 10.543 Å, b = 10.543 Å, c = 5.994 Å
α = 90.12°, β = 90.12°, γ = 113.39°
Sites, in units of the cell vectors:
Ac 0.000 0.000 0.000
Nd 0.166 0.834 0.500
Nd 0.329 0.671 0.000
Nd 0.500 0.500 0.500
Nd 0.671 0.329 0.000
Nd 0.834 0.166 0.500
Y 0.013 0.347 0.951
Y 0.158 0.494 0.452
Y 0.182 0.182 0.537
Y 0.332 0.332 0.040
Y 0.347 0.013 0.951
Y 0.494 0.158 0.452
Y 0.506 0.842 0.548
Y 0.653 0.987 0.049
Y 0.668 0.668 0.960
Y 0.818 0.818 0.463
Y 0.842 0.506 0.548
Y 0.987 0.653 0.049